No. 1
Starting from a crystal structure in Alexandria, relaxed with PBE, the X-ray powder pattern of Rb3Tl2Bi4Pd2 was simulated for Cu Kα X-rays.
Lines closer than 0.1° are merged.

Atomic structure:
```
data_Rb3Tl2Bi4Pd2
_chemical_formula_sum 'Rb3 Tl2 Bi4 Pd2'
_symmetry_space_group_name_H-M 'P -3 m 1'
_symmetry_Int_Tables_number 164
_symmetry_space_group_name_Hall '-P 3 2"'
_cell_length_a 4.8034
_cell_length_b 4.8034
_cell_length_c 20.8410
_cell_angle_alpha 90.00
_cell_angle_beta 90.00
_cell_angle_gamma 120.00
loop_
_atom_site_label
_atom_site_type_symbol
_atom_site_fract_x
_atom_site_fract_y
_atom_site_fract_z
Rb1 Rb 0.0000 0.0000 0.0000
Rb2 Rb 0.0000 0.0000 0.2997
Tl1 Tl 0.3333 0.6667 0.1835
Bi1 Bi 0.3333 0.6667 0.4235
Bi2 Bi 0.3333 0.6667 0.8735
Pd1 Pd 0.3333 0.6667 0.5515
```

Principal peaks in the range 10 to 80 degrees two-theta, by angle:
d (Å)	2θ (°)	Rel. int.	hkl
6.947	12.74	58	0 0 3
3.569	24.95	89	1 0 3
3.251	27.44	62	1 0 4
2.666	33.61	42	0 1 6
2.402	37.45	100	1 1 0
2.023	44.79	38	0 1 9


No. 2
Starting from a crystal structure in Alexandria, relaxed with PBE, the X-ray powder pattern of Bi2Pd8Rh was simulated for Cu Kα X-rays.
Lines closer than 0.1° are merged.

Atomic structure:
```
data_Bi2Pd8Rh
_chemical_formula_sum 'Bi4 Pd16 Rh2'
_symmetry_space_group_name_H-M 'C 1 2/m 1'
_symmetry_Int_Tables_number 12
_cell_length_a 12.819
_cell_length_b 6.772
_cell_length_c 4.904
_cell_angle_alpha 90.00
_cell_angle_beta 107.35
_cell_angle_gamma 90.00
loop_
_symmetry_equiv_pos_as_xyz
'x,y,z'
'-x,-y,-z'
'-x,y,-z'
'x,-y,z'
'x+1/2,y+1/2,z'
'-x+1/2,-y+1/2,-z'
'-x+1/2,y+1/2,-z'
'x+1/2,-y+1/2,z'
loop_
_atom_site_label
_atom_site_type_symbol
_atom_site_fract_x
_atom_site_fract_y
_atom_site_fract_z
Bi1 Bi 0.147 0.000 0.015
Pd1 Pd 0.069 0.302 0.273
Pd2 Pd 0.128 0.500 0.810
Pd3 Pd 0.236 0.000 0.582
Rh1 Rh 0.000 0.000 0.500
```

Principal peaks in the range 10 to 80 degrees two-theta, by angle:
d (Å)	2θ (°)	Rel. int.	hkl
3.386	26.32	53	0 2 0
2.963	30.17	42	2 2 0
2.293	39.29	93	1 1 -2
2.269	39.72	70	4 0 1
2.247	40.13	100	4 2 -1
2.222	40.61	43	1 3 0


Q: Which formula does entry 2 have?
A: Bi2Pd8Rh